# Nd2Ho2CI3Br2
Simulated powder diffraction line list, a wavelength of 1.5418 Å. Input: a PBE-relaxed structure.

Structural model:
Cell lengths 18.9180, 3.9892, 8.8068 Å; angles 90.00, 102.11, 90.00 degrees
Space group C2/m (No. 12)
Asymmetric unit:
Nd: 0.9996 0.0000 0.1961
Ho: 0.1297 0.5000 0.0628
C: 0.0000 0.5000 0.0000
I: 0.0000 0.5000 0.5000
I: 0.1728 0.0000 0.8316
Br: 0.1615 0.0000 0.3017

Most intense lines, 2θ = 15–90°, by angle:
- hkl 6 0 0, 28.96 deg, I 37
- hkl 3 1 1, 29.70 deg, I 15
- hkl 1 1 -2, 30.23 deg, I 100
- hkl 5 1 0, 33.05 deg, I 49
- hkl 6 0 -3, 38.10 deg, I 27
- hkl 2 0 -4, 41.00 deg, I 15
- hkl 5 1 2, 42.01 deg, I 22
- hkl 7 1 -2, 42.71 deg, I 22
- hkl 0 2 0, 45.47 deg, I 18
- hkl 2 2 -4, 62.91 deg, I 13